[1]
Nd2Sm7Ho2: theoretical X-ray diffraction stick pattern (a wavelength of 1.5418 Å), based on a structure optimized by DFT (GGA-PBE).
Kinematic intensities with the Lorentz-polarization factor, no thermal factor.

Main lines, in order of rising 2θ (2θ from 15° to 90°):
2θ = 29.8°, intensity 47; 2θ = 30.2°, intensity 98; 2θ = 30.3°, intensity 93; 2θ = 30.9°, intensity 53; 2θ = 31.0°, intensity 62; 2θ = 31.4°, intensity 76; 2θ = 31.8°, intensity 100; 2θ = 33.7°, intensity 66; 2θ = 55.3°, intensity 28; 2θ = 60.7°, intensity 24

Cell and atoms:
a b c (Å): 6.868 6.868 19.250
angles (deg): 94.38 94.38 123.98
Atoms (fractional coordinates):
Nd: 0.026 0.755 0.977
Nd: 0.245 0.974 0.523
Nd: 0.755 0.026 0.477
Nd: 0.974 0.245 0.023
Sm: 0.027 0.946 0.160
Sm: 0.054 0.973 0.340
Sm: 0.178 0.537 0.384
Sm: 0.344 0.535 0.568
Sm: 0.463 0.822 0.116
Sm: 0.465 0.656 0.932
Sm: 0.485 0.515 0.750
Sm: 0.515 0.485 0.250
Sm: 0.535 0.344 0.068
Sm: 0.537 0.178 0.884
Sm: 0.656 0.465 0.432
Sm: 0.822 0.463 0.616
Sm: 0.946 0.027 0.660
Sm: 0.973 0.054 0.840
Ho: 0.019 0.562 0.795
Ho: 0.438 0.981 0.705
Ho: 0.562 0.019 0.295
Ho: 0.981 0.438 0.205


[2]
Nd2Sm2Ho7: theoretical X-ray diffraction stick pattern (a wavelength of 1.5418 Å), based on a structure optimized by DFT (GGA-PBE).
Kinematic intensities with the Lorentz-polarization factor, no thermal factor.

Main lines, in order of rising 2θ (2θ from 15° to 90°):
2θ = 25.6°, intensity 22; 2θ = 30.7°, intensity 28; 2θ = 30.8°, intensity 49; 2θ = 31.9°, intensity 28; 2θ = 32.0°, intensity 100; 2θ = 33.5°, intensity 40; 2θ = 33.7°, intensity 29; 2θ = 44.9°, intensity 16; 2θ = 49.6°, intensity 13; 2θ = 55.6°, intensity 15

Cell and atoms:
a b c (Å): 8.083 8.083 6.087
angles (deg): 106.32 106.32 91.75
Atoms (fractional coordinates):
Nd: 0.096 0.096 0.310
Nd: 0.904 0.904 0.690
Sm: 0.288 0.712 0.000
Sm: 0.712 0.288 0.000
Ho: 0.089 0.565 0.323
Ho: 0.268 0.268 0.922
Ho: 0.435 0.911 0.677
Ho: 0.500 0.500 0.500
Ho: 0.565 0.089 0.323
Ho: 0.732 0.732 0.078
Ho: 0.911 0.435 0.677


[3]
Nd5Sm6Ho: theoretical X-ray diffraction stick pattern (a wavelength of 1.5418 Å), based on a structure optimized by DFT (GGA-PBE).
Kinematic intensities with the Lorentz-polarization factor, no thermal factor.

Main lines, in order of rising 2θ (2θ from 15° to 90°):
2θ = 30.0°, intensity 100; 2θ = 34.8°, intensity 51; 2θ = 50.1°, intensity 36; 2θ = 59.5°, intensity 43; 2θ = 62.4°, intensity 12; 2θ = 73.5°, intensity 6; 2θ = 81.4°, intensity 18; 2θ = 84.0°, intensity 16

Cell and atoms:
a b c (Å): 6.308 6.308 12.085
angles (deg): 95.01 95.01 119.99
Atoms (fractional coordinates):
Nd: 0.000 0.000 0.000
Nd: 0.167 0.833 0.500
Nd: 0.333 0.667 0.000
Nd: 0.667 0.333 0.000
Nd: 0.833 0.167 0.500
Sm: 0.085 0.417 0.251
Sm: 0.251 0.251 0.749
Sm: 0.417 0.085 0.251
Sm: 0.583 0.915 0.749
Sm: 0.749 0.749 0.251
Sm: 0.915 0.583 0.749
Ho: 0.500 0.500 0.500